Theoretical powder diffraction line list of Pm2Dy4Th for Cu Kα X-rays, from a crystal structure in Alexandria, relaxed with PBE.

The 8 most intense peaks (2θ from 10° to 80°), in order of rising 2θ:
- d 3.118, intensity 372
- d 2.894, intensity 601
- d 2.778, intensity 1000
- d 2.719, intensity 974
- d 1.803, intensity 415
- d 1.623, intensity 215
- d 1.532, intensity 165
- d 1.529, intensity 330

Structural model:
```
data_Pm2Dy4Th
_cell_length_a 3.607
_cell_length_b 3.607
_cell_length_c 20.378
_cell_angle_alpha 95.21
_cell_angle_beta 95.21
_cell_angle_gamma 59.90
_symmetry_space_group_name_H-M 'P 1'
_symmetry_Int_Tables_number 1
_symmetry_space_group_name_Hall 'P 1'
loop_
_atom_site_label
_atom_site_fract_x
_atom_site_fract_y
_atom_site_fract_z
Pm1 0.000 0.000 0.000
Pm2 0.089 0.089 0.286
Dy1 0.281 0.281 0.855
Dy2 0.376 0.376 0.144
Dy3 0.808 0.808 0.431
Dy4 0.901 0.901 0.716
Th1 0.182 0.182 0.573
```

Theoretical powder diffraction line list of Re2PW for Cu Kα X-rays, from a crystal structure in Alexandria, relaxed with PBE.

The 8 most intense peaks (2θ from 10° to 80°), in order of rising 2θ:
- d 2.771, intensity 182
- d 2.461, intensity 348
- d 2.221, intensity 192
- d 2.213, intensity 313
- d 2.135, intensity 1000
- d 1.262, intensity 186
- d 1.251, intensity 138
- d 1.219, intensity 134

Structural model:
```
data_Re2PW
_cell_length_a 5.172
_cell_length_b 5.172
_cell_length_c 5.172
_cell_angle_alpha 147.24
_cell_angle_beta 129.34
_cell_angle_gamma 61.65
_symmetry_space_group_name_H-M 'P 1'
_symmetry_Int_Tables_number 1
_symmetry_space_group_name_Hall 'P 1'
loop_
_atom_site_label
_atom_site_fract_x
_atom_site_fract_y
_atom_site_fract_z
Re1 0.216 0.216 0.000
Re2 0.784 0.784 0.000
P1 0.000 0.500 0.500
W1 0.500 0.000 0.500
```

Theoretical powder diffraction line list of Er4ZnCoRu2 for Cu Kα X-rays, from a crystal structure in Alexandria, relaxed with PBE.

The 8 most intense peaks (2θ from 10° to 80°), in order of rising 2θ:
- d 3.913, intensity 14
- d 3.389, intensity 126
- d 2.396, intensity 1000
- d 1.956, intensity 37
- d 1.694, intensity 171
- d 1.515, intensity 50
- d 1.383, intensity 341
- d 1.310, intensity 7

Structural model:
```
data_Er4ZnCoRu2
_cell_length_a 8.301
_cell_length_b 8.301
_cell_length_c 8.301
_cell_angle_alpha 33.56
_cell_angle_beta 33.56
_cell_angle_gamma 33.56
_symmetry_space_group_name_H-M 'P 1'
_symmetry_Int_Tables_number 1
_symmetry_space_group_name_Hall 'P 1'
loop_
_atom_site_label
_atom_site_fract_x
_atom_site_fract_y
_atom_site_fract_z
Er1 0.121 0.121 0.121
Er2 0.372 0.372 0.372
Er3 0.628 0.628 0.628
Er4 0.879 0.879 0.879
Zn1 0.500 0.500 0.500
Co1 0.000 0.000 0.000
Ru1 0.249 0.249 0.249
Ru2 0.751 0.751 0.751
```